[1]
Theoretical powder XRD pattern
Compound: CaAc3Tl4
Radiation: copper Kα
Structure: a cell relaxed with GGA-PBE

Structure:
```
8
Lattice="3.9443 0.0000 0.0000 0.0000 3.9443 0.0000 0.0000 0.0000 17.2944" Properties=species:S:1:pos:R:3 pbc="T T T"
Ca 0.0000 0.0000 0.0000
Ac 0.0000 0.0000 4.1329
Ac 0.0000 0.0000 8.6472
Ac 0.0000 0.0000 13.1616
Tl 1.9722 1.9722 1.8746
Tl 1.9722 1.9722 6.3706
Tl 1.9722 1.9722 10.9239
Tl 1.9722 1.9722 15.4199
```

Top 6 peaks for 10 to 90 degrees two-theta, in order of falling intensity:
| d (Å) | two_theta | I (rel.) |
| --- | --- | --- |
| 2.914 | 30.7 | 100 |
| 2.789 | 32.1 | 48 |
| 1.633 | 56.3 | 37 |
| 1.972 | 46.0 | 18 |
| 1.709 | 53.6 | 17 |
| 3.255 | 27.4 | 10 |



[2]
Theoretical powder XRD pattern
Compound: Pr2AlSn2
Radiation: copper Kα
Structure: a cell relaxed with GGA-PBE

Structure:
```
10
Lattice="4.5560 0.0000 0.0000 2.2690 5.9028 0.0000 2.2703 1.1097 10.2384" Properties=species:S:1:pos:R:3 pbc="T T T"
Pr 1.1363 1.3068 3.3465
Pr 3.4045 2.4101 9.0945
Pr 5.6908 4.6024 1.1439
Pr 7.9590 5.7057 6.8920
Al 3.4106 3.8504 3.2907
Al 5.6847 3.1620 6.9477
Sn 3.4077 2.0625 5.7397
Sn 5.6818 5.0463 9.1232
Sn 3.4135 1.9662 1.1152
Sn 5.6876 4.9500 4.4987
```

Top 6 peaks for 10 to 90 degrees two-theta, in order of falling intensity:
| d (Å) | two_theta | I (rel.) |
| --- | --- | --- |
| 2.892 | 30.9 | 100 |
| 2.972 | 30.1 | 61 |
| 2.502 | 35.9 | 56 |
| 2.934 | 30.5 | 46 |
| 2.278 | 39.6 | 44 |
| 3.007 | 29.7 | 40 |



[3]
Theoretical powder XRD pattern
Compound: SrPr12Sn4N3
Radiation: copper Kα
Structure: a cell relaxed with GGA-PBE

Structure:
```
20
Lattice="-5.1639 5.1639 5.1639 5.1639 -5.1639 5.1639 5.1639 5.1639 -5.1639" Properties=species:S:1:pos:R:3 pbc="T T T"
Sr 0.0000 0.0000 0.0000
Pr 2.8239 0.0000 0.0000
Pr 7.5040 0.0000 0.0000
Pr 5.1639 2.5820 0.0000
Pr 5.1639 0.0000 2.5820
Pr 0.0000 2.8239 0.0000
Pr 0.0000 0.0000 2.8239
Pr 2.5820 5.1639 0.0000
Pr 2.5820 0.0000 5.1639
Pr 0.0000 7.5040 0.0000
Pr 0.0000 0.0000 7.5040
Pr 0.0000 5.1639 2.5820
Pr 0.0000 2.5820 5.1639
Sn 2.5820 2.5820 -2.5820
Sn 2.5820 -2.5820 2.5820
Sn -2.5820 2.5820 2.5820
Sn 2.5820 2.5820 2.5820
N 5.1639 0.0000 0.0000
N 0.0000 5.1639 0.0000
N 0.0000 0.0000 5.1639
```

Top 6 peaks for 10 to 90 degrees two-theta, in order of falling intensity:
| d (Å) | two_theta | I (rel.) |
| --- | --- | --- |
| 2.981 | 30.0 | 100 |
| 2.582 | 34.7 | 64 |
| 1.826 | 50.0 | 44 |
| 1.557 | 59.4 | 40 |
| 1.155 | 83.8 | 18 |
| 1.185 | 81.2 | 15 |



[4]
Theoretical powder XRD pattern
Compound: TaBe3B12
Radiation: copper Kα
Structure: a cell relaxed with GGA-PBE

Structure:
```
32
Lattice="3.6583 -5.1095 0.0000 3.6583 5.1095 0.0000 -3.2667 0.0000 6.8497" Properties=species:S:1:pos:R:3 pbc="T T T"
Ta 2.0250 4.7493 3.4249
Ta 3.6583 -4.7493 0.0000
Be 1.5579 2.3992 0.9989
Be 0.1699 2.5937 5.7187
Be -0.0755 -2.3992 4.4237
Be 1.8033 -2.5937 2.2938
Be 2.9167 0.3660 4.5167
Be 4.5500 -0.3660 1.0918
B 2.7037 3.9080 1.3623
B -0.8078 1.0771 5.0117
B 0.2121 1.4952 3.5574
B 1.1559 2.7781 3.9899
B 1.1726 0.6209 2.1344
B 1.9229 3.3017 5.3056
B 0.8256 -1.0771 1.5868
B 3.3879 2.6595 2.2545
B -0.4607 -0.6209 5.5593
B 0.0999 0.7198 6.6245
B 2.8829 1.0354 1.4697
B 1.8455 -1.4952 0.1325
B 1.7332 -0.7198 3.1997
B 2.3024 1.8090 6.0539
B 1.2496 -1.0354 4.8946
B 1.6847 0.1911 6.0852
B 4.0836 1.3262 3.0683
B 3.3181 -0.1911 2.6604
B 2.7892 -2.7781 0.5650
B 1.0703 -3.9080 4.7872
B 1.7545 -2.6595 5.6793
B 3.9357 -1.8090 2.6290
B 2.4503 -1.3262 6.4931
B 3.5562 -3.3017 1.8807
```

Top 6 peaks for 10 to 90 degrees two-theta, in order of falling intensity:
| d (Å) | two_theta | I (rel.) |
| --- | --- | --- |
| 5.547 | 16.0 | 100 |
| 3.542 | 25.1 | 41 |
| 5.110 | 17.4 | 37 |
| 2.532 | 35.5 | 26 |
| 2.681 | 33.4 | 23 |
| 2.845 | 31.4 | 21 |



[5]
Theoretical powder XRD pattern
Compound: Zr2BeIr6
Radiation: copper Kα
Structure: a cell relaxed with GGA-PBE

Structure:
```
9
Lattice="0.0000 4.0853 4.0853 4.0853 0.0000 4.0853 4.0853 4.0853 0.0000" Properties=species:S:1:pos:R:3 pbc="T T T"
Zr 2.0426 2.0426 2.0426
Zr 6.1279 6.1279 6.1279
Be 0.0000 0.0000 0.0000
Ir 4.0853 4.0853 2.1414
Ir 4.0853 2.1414 4.0853
Ir 6.0291 4.0853 4.0853
Ir 2.1414 4.0853 4.0853
Ir 4.0853 6.0291 4.0853
Ir 4.0853 4.0853 6.0291
```

Top 6 peaks for 10 to 90 degrees two-theta, in order of falling intensity:
| d (Å) | two_theta | I (rel.) |
| --- | --- | --- |
| 2.359 | 38.2 | 100 |
| 2.043 | 44.3 | 50 |
| 1.232 | 77.5 | 37 |
| 1.444 | 64.5 | 32 |
| 1.179 | 81.6 | 11 |
| 4.085 | 21.8 | 7 |



[6]
Theoretical powder XRD pattern
Compound: Tc5B2
Radiation: copper Kα
Structure: a cell relaxed with GGA-PBE

Structure:
```
14
Lattice="6.4225 -2.4400 0.0000 6.4225 2.4400 0.0000 -0.6563 0.0000 5.4240" Properties=species:S:1:pos:R:3 pbc="T T T"
Tc 5.9303 1.9750 4.0680
Tc 2.6036 0.4607 1.6603
Tc 2.2754 -0.4607 4.3723
Tc 5.1302 0.4405 0.3894
Tc 4.8020 -0.4405 3.1014
Tc 7.3867 0.4405 2.3226
Tc 7.0585 -0.4405 5.0346
Tc 9.9133 0.4607 1.0518
Tc 9.5851 -0.4607 3.7638
Tc 6.2584 -1.9750 1.3560
B 4.7134 1.5803 2.2607
B 7.8034 1.5803 0.4513
B 4.3852 -1.5803 4.9727
B 7.4753 -1.5803 3.1633
```

Top 6 peaks for 10 to 90 degrees two-theta, in order of falling intensity:
| d (Å) | two_theta | I (rel.) |
| --- | --- | --- |
| 2.260 | 39.9 | 100 |
| 2.225 | 40.5 | 75 |
| 2.170 | 41.6 | 58 |
| 1.276 | 74.3 | 39 |
| 2.376 | 37.9 | 37 |
| 2.200 | 41.0 | 31 |